Starting from the GGA-PBE geometry in the Materials Project, the X-ray powder pattern of WCl5 was computed for Cu Kα (weighted mean of Kα1 and Kα2).
Lines closer than 0.1° are merged.

Atomic structure:
```
WCl5
1.0
9.3721 -9.2551 0.0000
9.3721 9.2551 0.0000
-0.6754 0.0000 6.5662
W Cl
6 30
Direct
0.1042 0.8958 0.0000
0.2287 0.4372 0.4331
0.4372 0.2287 0.4331
0.5628 0.7713 0.5669
0.7713 0.5628 0.5669
0.8958 0.1042 0.0000
0.0199 0.8355 0.7025
0.0710 0.0710 0.8714
0.0759 0.4493 0.2515
0.1135 0.7399 0.1291
0.1640 0.3483 0.6777
0.1645 0.9801 0.2975
0.2161 0.5897 0.6154
0.2601 0.8865 0.8709
0.2644 0.2644 0.2558
0.3171 0.5021 0.1881
0.3483 0.1640 0.6777
0.4017 0.4017 0.6100
0.4103 0.7839 0.3846
0.4493 0.0759 0.2515
0.4979 0.6829 0.8119
0.5021 0.3171 0.1881
0.5507 0.9241 0.7485
0.5897 0.2161 0.6154
0.5983 0.5983 0.3900
0.6517 0.8360 0.3223
0.6829 0.4979 0.8119
0.7356 0.7356 0.7442
0.7399 0.1135 0.1291
0.7839 0.4103 0.3846
0.8355 0.0199 0.7025
0.8360 0.6517 0.3223
0.8865 0.2601 0.8709
0.9241 0.5507 0.7485
0.9290 0.9290 0.1286
0.9801 0.1645 0.2975
```

The 10 most intense peaks (2θ from 15° to 90°), in order of rising 2θ:
2θ = 15.0°, intensity 100; 2θ = 15.5°, intensity 14; 2θ = 17.3°, intensity 41; 2θ = 19.2°, intensity 32; 2θ = 22.2°, intensity 18; 2θ = 25.9°, intensity 19; 2θ = 28.1°, intensity 21; 2θ = 31.9°, intensity 21; 2θ = 37.8°, intensity 26; 2θ = 48.1°, intensity 17